(1)
Structure and simulated powder diffractogram of Rb2InWSe6 (a GGA-PBE-relaxed structure; Cu Kα X-rays).
Peak positions follow from Bragg's law for the DFT cell and can differ from measured ones.

Most intense lines, 10 to 80 degrees two-theta, in order of rising 2θ:
2θ (°)	d_spacing	I/Imax	h k l
11.69	7.571	73	0 0 2
22.78	3.903	40	1 0 2
27.70	3.221	14	1 1 0
28.33	3.150	14	1 1 1
32.99	2.715	16	1 1 3
36.63	2.453	100	1 1 4
39.57	2.277	49	2 0 0
41.40	2.181	13	2 0 2
45.67	1.986	27	1 1 6
46.15	1.967	12	2 1 2
57.21	1.610	16	2 2 0
69.87	1.346	30	3 1 4

Structural model:
```
data_Rb2InWSe6
_space_group_name_H-M_alt 'P 4/m m m'
_space_group_IT_number 123
_space_group_name_Hall '-P 4 2'
_cell_length_a 4.5546
_cell_length_b 4.5546
_cell_length_c 15.1422
_cell_angle_alpha 90.00
_cell_angle_beta 90.00
_cell_angle_gamma 90.00
loop_
_atom_site_label
_atom_site_fract_x
_atom_site_fract_y
_atom_site_fract_z
Rb1 0.0000 0.0000 0.2173
In1 0.5000 0.5000 0.0000
W1 0.5000 0.5000 0.5000
Se1 0.0000 0.0000 0.0000
Se2 0.0000 0.0000 0.5000
Se3 0.0000 0.5000 0.3937
```



(2)
Structure and simulated powder diffractogram of SmZr6Sn4 (a GGA-PBE-relaxed structure; Cu Kα X-rays).
Peak positions follow from Bragg's law for the DFT cell and can differ from measured ones.

Most intense lines, 10 to 80 degrees two-theta, in order of rising 2θ:
2θ (°)	d_spacing	I/Imax	h k l
29.23	3.055	68	1 1 0
31.31	2.857	50	1 1 3
33.34	2.687	97	0 0 9
34.09	2.630	100	0 2 1
36.92	2.435	98	1 1 6
37.09	2.424	89	0 2 4
38.80	2.321	79	2 0 5
44.93	2.018	34	1 1 9
45.56	1.991	33	2 0 8
60.62	1.527	62	2 2 0
65.46	1.426	37	1 1 15
70.98	1.328	66	2 2 9

Structural model:
```
data_SmZr6Sn4
_space_group_name_H-M_alt 'R -3 m'
_space_group_IT_number 166
_space_group_name_Hall '-R 3 2"'
_cell_length_a 6.1100
_cell_length_b 6.1100
_cell_length_c 24.1843
_cell_angle_alpha 90.00
_cell_angle_beta 90.00
_cell_angle_gamma 120.00
loop_
_atom_site_label
_atom_site_fract_x
_atom_site_fract_y
_atom_site_fract_z
Sm1 0.0000 0.0000 0.0000
Zr1 0.0025 0.5012 0.1050
Sn1 0.0000 0.0000 0.1245
Sn2 0.0000 0.0000 0.3327
```



(3)
Structure and simulated powder diffractogram of CuBi (a GGA-PBE-relaxed structure; Cu Kα X-rays).
Peak positions follow from Bragg's law for the DFT cell and can differ from measured ones.

Most intense lines, 10 to 80 degrees two-theta, in order of rising 2θ:
2θ (°)	d_spacing	I/Imax	h k l
22.35	3.978	20	0 0 2
29.42	3.036	100	1 1 1
33.80	2.652	13	0 0 3
34.55	2.596	22	2 0 0
35.44	2.533	28	1 1 2
41.54	2.174	22	2 0 2
42.38	2.133	12	2 1 1
42.65	2.120	22	0 2 0
43.88	2.063	28	1 1 3
56.00	1.642	11	2 2 0
58.79	1.571	15	3 1 1
61.05	1.518	14	2 2 2

Structural model:
```
data_CuBi
_space_group_name_H-M_alt 'P m m a'
_space_group_IT_number 51
_cell_length_a 5.1918
_cell_length_b 4.2401
_cell_length_c 7.9562
_cell_angle_alpha 90.00
_cell_angle_beta 90.00
_cell_angle_gamma 90.00
loop_
_space_group_symop_operation_xyz
'x,y,z'
'-x,-y,-z'
'-x+1/2,-y,z'
'x+1/2,y,-z'
'x+1/2,-y,-z'
'-x+1/2,y,z'
'-x,y,-z'
'x,-y,z'
loop_
_atom_site_label
_atom_site_fract_x
_atom_site_fract_y
_atom_site_fract_z
Cu1 0.0000 0.0000 0.0000
Cu2 0.2500 0.5000 0.0818
Bi1 0.2500 0.0000 0.3198
Bi2 0.2500 0.5000 0.7406
```



(4)
Structure and simulated powder diffractogram of La2Co2SiGe (a GGA-PBE-relaxed structure; Cu Kα X-rays).
Peak positions follow from Bragg's law for the DFT cell and can differ from measured ones.

Most intense lines, 10 to 80 degrees two-theta, in order of rising 2θ:
2θ (°)	d_spacing	I/Imax	h k l
12.42	7.129	16	0 0 1
24.97	3.566	56	1 0 1
30.69	2.913	35	1 1 0
33.23	2.696	100	1 0 2
39.97	2.255	76	1 1 2
43.96	2.060	56	2 0 0
51.22	1.784	19	2 1 1
56.22	1.636	57	1 0 4
59.38	1.556	12	2 0 3
63.92	1.456	19	2 2 0
74.00	1.281	43	2 1 4
78.11	1.224	20	3 1 2

Structural model:
```
data_La2Co2SiGe
_space_group_name_H-M_alt 'P 4 m m'
_space_group_IT_number 99
_cell_length_a 4.1194
_cell_length_b 4.1194
_cell_length_c 7.1286
_cell_angle_alpha 90.00
_cell_angle_beta 90.00
_cell_angle_gamma 90.00
loop_
_space_group_symop_operation_xyz
'x,y,z'
'-y,x,z'
'-x,-y,z'
'y,-x,z'
'-x,y,z'
'y,x,z'
'x,-y,z'
'-y,-x,z'
loop_
_atom_site_label
_atom_site_fract_x
_atom_site_fract_y
_atom_site_fract_z
La1 0.0000 0.0000 0.0000
La2 0.5000 0.5000 0.3762
Co1 0.0000 0.5000 0.6946
Si1 0.5000 0.5000 0.8536
Ge1 0.0000 0.0000 0.5163
```



(5)
Structure and simulated powder diffractogram of RbZrSn (a GGA-PBE-relaxed structure; Cu Kα X-rays).
Peak positions follow from Bragg's law for the DFT cell and can differ from measured ones.

Most intense lines, 10 to 80 degrees two-theta, in order of rising 2θ:
2θ (°)	d_spacing	I/Imax	h k l
20.92	4.245	26	1 1 1
24.21	3.677	18	2 0 0
34.50	2.600	100	2 2 0
40.70	2.217	14	3 1 1
42.59	2.123	5	2 2 2
49.59	1.838	18	4 0 0
54.39	1.687	6	3 3 1
55.92	1.644	8	4 2 0
61.81	1.501	37	4 2 2
66.02	1.415	4	5 1 1
72.75	1.300	11	4 4 0
76.67	1.243	4	5 3 1

Structural model:
```
data_RbZrSn
_space_group_name_H-M_alt 'F -4 3 m'
_space_group_IT_number 216
_space_group_name_Hall 'F -4 2 3'
_cell_length_a 7.3532
_cell_length_b 7.3532
_cell_length_c 7.3532
_cell_angle_alpha 90.00
_cell_angle_beta 90.00
_cell_angle_gamma 90.00
loop_
_atom_site_label
_atom_site_fract_x
_atom_site_fract_y
_atom_site_fract_z
Rb1 0.0000 0.0000 0.0000
Zr1 0.2500 0.2500 0.2500
Sn1 0.0000 0.0000 0.5000
```



(6)
Structure and simulated powder diffractogram of HoAuSeO (a GGA-PBE-relaxed structure; Cu Kα X-rays).
Peak positions follow from Bragg's law for the DFT cell and can differ from measured ones.

Most intense lines, 10 to 80 degrees two-theta, in order of rising 2θ:
2θ (°)	d_spacing	I/Imax	h k l
18.54	4.786	56	0 2 0
27.96	3.191	42	0 3 0
29.30	3.048	100	1 2 1
31.92	2.803	94	0 0 2
33.47	2.677	85	2 1 0
36.17	2.483	70	1 3 1
37.32	2.409	53	2 2 0
42.94	2.106	31	0 3 2
46.93	1.936	74	2 1 2
49.91	1.827	31	2 2 2
50.24	1.816	31	2 4 0
58.37	1.581	33	0 5 2

Structural model:
```
data_HoAuSeO
_space_group_name_H-M_alt 'P c c a'
_space_group_IT_number 54
_cell_length_a 5.5767
_cell_length_b 9.5726
_cell_length_c 5.6068
_cell_angle_alpha 90.00
_cell_angle_beta 90.00
_cell_angle_gamma 90.00
loop_
_space_group_symop_operation_xyz
'x,y,z'
'-x,-y,-z'
'-x+1/2,-y,z'
'x+1/2,y,-z'
'x+1/2,-y,-z+1/2'
'-x+1/2,y,z+1/2'
'-x,y,-z+1/2'
'x,-y,z+1/2'
loop_
_atom_site_label
_atom_site_fract_x
_atom_site_fract_y
_atom_site_fract_z
Ho1 0.0000 0.1133 0.2500
Au1 0.2500 0.5000 0.2164
Se1 0.0000 0.2767 0.7500
O1 0.2500 0.0000 0.0009
```



(7)
Structure and simulated powder diffractogram of MgIr (a GGA-PBE-relaxed structure; Cu Kα X-rays).
Peak positions follow from Bragg's law for the DFT cell and can differ from measured ones.

Most intense lines, 10 to 80 degrees two-theta, in order of rising 2θ:
2θ (°)	d_spacing	I/Imax	h k l
15.63	5.668	70	0 1 0
18.39	4.824	30	0 0 1
19.39	4.579	34	1 0 0
31.22	2.865	21	1 1 1
36.78	2.443	38	0 2 1
37.30	2.411	27	0 0 2
39.36	2.289	41	2 0 0
41.91	2.156	100	1 2 1
42.36	2.134	56	1 0 2
45.41	1.997	19	1 1 2
54.96	1.671	24	2 2 1
73.10	1.294	20	3 2 1

Structural model:
```
data_MgIr
_space_group_name_H-M_alt 'P m m 2'
_space_group_IT_number 25
_cell_length_a 4.5789
_cell_length_b 5.6678
_cell_length_c 4.8238
_cell_angle_alpha 90.00
_cell_angle_beta 90.00
_cell_angle_gamma 90.00
loop_
_space_group_symop_operation_xyz
'x,y,z'
'-x,-y,z'
'-x,y,z'
'x,-y,z'
loop_
_atom_site_label
_atom_site_fract_x
_atom_site_fract_y
_atom_site_fract_z
Mg1 0.0000 0.0000 0.0000
Mg2 0.0000 0.2706 0.4686
Mg3 0.5000 0.0000 0.6416
Ir1 0.0000 0.5000 0.9629
Ir2 0.5000 0.2633 0.1452
Ir3 0.5000 0.5000 0.6628
```



(8)
Structure and simulated powder diffractogram of TmCoCl6 (a GGA-PBE-relaxed structure; Cu Kα X-rays).
Peak positions follow from Bragg's law for the DFT cell and can differ from measured ones.

Most intense lines, 10 to 80 degrees two-theta, in order of rising 2θ:
2θ (°)	d_spacing	I/Imax	h k l
14.75	6.005	100	0 0 1
16.31	5.436	24	0 2 0
17.02	5.209	44	1 1 0
19.04	4.661	33	1 1 -1
22.06	4.030	23	0 2 1
25.69	3.468	17	1 1 1
28.85	3.094	41	2 0 -1
34.82	2.576	94	1 3 1
45.57	1.991	21	1 3 2
49.82	1.830	29	2 0 2
50.31	1.814	27	0 6 0
52.73	1.736	20	3 3 0

Structural model:
```
data_TmCoCl6
_space_group_name_H-M_alt 'C 1 2 1'
_space_group_IT_number 5
_cell_length_a 6.2874
_cell_length_b 10.8725
_cell_length_c 6.3629
_cell_angle_alpha 90.00
_cell_angle_beta 109.30
_cell_angle_gamma 90.00
loop_
_space_group_symop_operation_xyz
'x,y,z'
'-x,y,-z'
'x+1/2,y+1/2,z'
'-x+1/2,y+1/2,-z'
loop_
_atom_site_label
_atom_site_fract_x
_atom_site_fract_y
_atom_site_fract_z
Tm1 0.0000 0.0000 0.0000
Co1 0.0000 0.6671 0.0000
Cl1 0.2177 0.6659 0.7776
Cl2 0.2178 0.8135 0.2271
Cl3 0.2236 0.5216 0.2260
```



(9)
Structure and simulated powder diffractogram of NiMoP8 (a GGA-PBE-relaxed structure; Cu Kα X-rays).
Peak positions follow from Bragg's law for the DFT cell and can differ from measured ones.

Most intense lines, 10 to 80 degrees two-theta, in order of rising 2θ:
2θ (°)	d_spacing	I/Imax	h k l
19.30	4.599	50	1 0 1
26.19	3.403	52	1 0 2
28.61	3.120	68	1 1 0
34.75	2.582	61	2 0 1
34.92	2.569	62	1 0 3
35.32	2.541	79	2 -1 2
39.17	2.300	31	2 0 2
49.22	1.851	31	3 -1 2
50.68	1.801	81	3 0 0
50.94	1.793	100	1 1 4
54.85	1.674	35	3 -1 3
74.71	1.271	24	4 -2 4

Structural model:
```
data_NiMoP8
_space_group_name_H-M_alt 'P -3 1 c'
_space_group_IT_number 163
_space_group_name_Hall '-P 3 2c'
_cell_length_a 6.2393
_cell_length_b 6.2393
_cell_length_c 8.7624
_cell_angle_alpha 90.00
_cell_angle_beta 90.00
_cell_angle_gamma 120.00
loop_
_atom_site_label
_atom_site_fract_x
_atom_site_fract_y
_atom_site_fract_z
Ni1 0.0000 0.0000 0.0000
Mo1 0.3333 0.6667 0.2500
P1 0.0445 0.3203 0.6532
P2 0.3333 0.6667 0.5364
```



(10)
Structure and simulated powder diffractogram of Nd2Dy2CCl4F (a GGA-PBE-relaxed structure; Cu Kα X-rays).
Peak positions follow from Bragg's law for the DFT cell and can differ from measured ones.

Most intense lines, 10 to 80 degrees two-theta, in order of rising 2θ:
2θ (°)	d_spacing	I/Imax	h k l
10.56	8.380	36	2 0 0
12.22	7.241	80	0 0 1
22.19	4.006	23	4 0 -1
27.03	3.299	24	1 1 -1
28.87	3.093	63	2 0 2
32.04	2.793	43	6 0 0
32.79	2.731	24	3 1 1
34.22	2.620	100	1 1 -2
36.12	2.487	24	5 1 0
47.44	1.916	29	5 1 2
47.73	1.906	25	7 1 -2
49.12	1.855	21	0 2 0

Structural model:
```
data_Nd2Dy2CCl4F
_space_group_name_H-M_alt 'C 1 2/m 1'
_space_group_IT_number 12
_cell_length_a 17.1354
_cell_length_b 3.7093
_cell_length_c 7.4030
_cell_angle_alpha 90.00
_cell_angle_beta 102.01
_cell_angle_gamma 90.00
loop_
_space_group_symop_operation_xyz
'x,y,z'
'-x,-y,-z'
'-x,y,-z'
'x,-y,z'
'x+1/2,y+1/2,z'
'-x+1/2,-y+1/2,-z'
'-x+1/2,y+1/2,-z'
'x+1/2,-y+1/2,z'
loop_
_atom_site_label
_atom_site_fract_x
_atom_site_fract_y
_atom_site_fract_z
Nd1 0.0028 0.0000 0.2630
Dy1 0.1431 0.5000 0.5798
C1 0.0000 0.5000 0.5000
Cl1 0.1663 0.0000 0.8492
Cl2 0.1762 0.0000 0.3337
F1 0.0000 0.5000 0.0000
```



(11)
Structure and simulated powder diffractogram of MgZnH2Cl2O2 (a GGA-PBE-relaxed structure; Cu Kα X-rays).
Peak positions follow from Bragg's law for the DFT cell and can differ from measured ones.

Most intense lines, 10 to 80 degrees two-theta, in order of rising 2θ:
2θ (°)	d_spacing	I/Imax	h k l
17.20	5.155	63	0 0 2
30.63	2.918	20	1 0 0
31.87	2.808	53	0 1 1
34.81	2.577	9	0 0 4
35.34	2.540	40	0 1 2
40.55	2.224	100	0 1 3
47.04	1.932	9	0 1 4
54.47	1.685	53	1 1 0
57.55	1.602	14	1 1 2
62.75	1.481	15	1 0 6
70.06	1.343	17	2 0 3
79.70	1.203	12	1 1 6

Structural model:
```
data_MgZnH2Cl2O2
_space_group_name_H-M_alt 'P 3 m 1'
_space_group_IT_number 156
_cell_length_a 3.3698
_cell_length_b 3.3698
_cell_length_c 10.3098
_cell_angle_alpha 90.00
_cell_angle_beta 90.00
_cell_angle_gamma 120.00
loop_
_space_group_symop_operation_xyz
'x,y,z'
'-y,x-y,z'
'-x+y,-x,z'
'-y,-x,z'
'-x+y,y,z'
'x,x-y,z'
loop_
_atom_site_label
_atom_site_fract_x
_atom_site_fract_y
_atom_site_fract_z
Mg1 0.0000 0.0000 0.0000
Zn1 0.3333 0.6667 0.4985
H1 0.6667 0.3333 0.1706
H2 0.6667 0.3333 0.6704
Cl1 0.0000 0.0000 0.3426
Cl2 0.3333 0.6667 0.8409
O1 0.6667 0.3333 0.0755
O2 0.6667 0.3333 0.5752
```



(12)
Structure and simulated powder diffractogram of Y3TaS (a GGA-PBE-relaxed structure; Cu Kα X-rays).
Peak positions follow from Bragg's law for the DFT cell and can differ from measured ones.

Most intense lines, 10 to 80 degrees two-theta, in order of rising 2θ:
2θ (°)	d_spacing	I/Imax	h k l
25.20	3.534	32	2 0 0
29.51	3.027	36	2 1 1
30.48	2.933	100	2 0 2
34.09	2.630	40	0 0 4
35.94	2.499	36	2 2 0
38.34	2.348	18	2 1 3
44.02	2.057	29	3 1 2
50.38	1.811	27	2 2 4
54.81	1.675	18	4 0 2
58.40	1.580	17	4 2 0
58.80	1.570	16	2 0 6
69.38	1.355	20	4 2 4

Structural model:
```
data_Y3TaS
_space_group_name_H-M_alt 'I 4/m c m'
_space_group_IT_number 140
_space_group_name_Hall '-I 4 2c'
_cell_length_a 7.0672
_cell_length_b 7.0672
_cell_length_c 10.5187
_cell_angle_alpha 90.00
_cell_angle_beta 90.00
_cell_angle_gamma 90.00
loop_
_atom_site_label
_atom_site_fract_x
_atom_site_fract_y
_atom_site_fract_z
Y1 0.0000 0.0000 0.2500
Y2 0.1692 0.3308 0.0000
Ta1 0.0000 0.5000 0.2500
S1 0.0000 0.0000 0.0000
```



(13)
Structure and simulated powder diffractogram of Nb4SnTeC2 (a GGA-PBE-relaxed structure; Cu Kα X-rays).
Peak positions follow from Bragg's law for the DFT cell and can differ from measured ones.

Most intense lines, 10 to 80 degrees two-theta, in order of rising 2θ:
2θ (°)	d_spacing	I/Imax	h k l
30.90	2.894	24	1 0 0
31.62	2.829	1	1 0 1
33.72	2.658	1	1 0 2
36.98	2.431	100	1 0 3
40.25	2.241	16	0 0 6
51.59	1.772	14	1 0 6
54.95	1.671	22	1 1 0
64.38	1.447	3	2 0 0
68.09	1.377	16	2 0 3
70.28	1.339	19	1 1 6
71.01	1.327	14	1 0 9
78.72	1.216	4	2 0 6

Structural model:
```
data_Nb4SnTeC2
_space_group_name_H-M_alt 'P -6 m 2'
_space_group_IT_number 187
_space_group_name_Hall 'P -6 2'
_cell_length_a 3.3417
_cell_length_b 3.3417
_cell_length_c 13.4434
_cell_angle_alpha 90.00
_cell_angle_beta 90.00
_cell_angle_gamma 120.00
loop_
_atom_site_label
_atom_site_fract_x
_atom_site_fract_y
_atom_site_fract_z
Nb1 0.0000 0.0000 0.1627
Nb2 0.6667 0.3333 0.3292
Sn1 0.0000 0.0000 0.5000
Te1 0.6667 0.3333 0.0000
C1 0.3333 0.6667 0.2461
```



(14)
Structure and simulated powder diffractogram of BeZnTeO (a GGA-PBE-relaxed structure; Cu Kα X-rays).
Peak positions follow from Bragg's law for the DFT cell and can differ from measured ones.

Most intense lines, 10 to 80 degrees two-theta, in order of rising 2θ:
2θ (°)	d_spacing	I/Imax	h k l
12.04	7.349	100	0 1 0
17.08	5.193	49	1 1 0
24.24	3.672	97	0 2 0
27.15	3.284	58	1 2 0
29.18	3.060	43	2 0 1
32.28	2.773	73	0 0 2
36.71	2.448	54	0 3 0
38.80	2.321	53	3 1 0
40.78	2.213	48	0 2 2
44.48	2.037	42	2 3 0
51.32	1.780	51	3 1 2
56.02	1.641	41	3 2 2

Structural model:
```
data_BeZnTeO
_space_group_name_H-M_alt 'P c a 21'
_space_group_IT_number 29
_cell_length_a 7.3383
_cell_length_b 7.3485
_cell_length_c 5.5457
_cell_angle_alpha 90.00
_cell_angle_beta 90.00
_cell_angle_gamma 90.00
loop_
_space_group_symop_operation_xyz
'x,y,z'
'-x,-y,z+1/2'
'-x+1/2,y,z+1/2'
'x+1/2,-y,z'
loop_
_atom_site_label
_atom_site_fract_x
_atom_site_fract_y
_atom_site_fract_z
Be1 0.1953 0.1752 0.0000
Zn1 0.0328 0.6558 0.1625
Te1 0.0922 0.6883 0.6893
O1 0.1858 0.1687 0.7251
```